Record 1
This entry pairs a crystal structure of RbMg6SiO8 with its simulated powder diffraction line list. Radiation: Cu Kα X-rays. Structure: DFT lattice parameters and positions (GGA-PBE).

Crystal structure
Lattice parameters (Å, degrees): 4.711 4.711 8.346 90.00 90.00 90.00
Positions (direct):
Rb 0.000 0.000 0.000
Mg 0.000 0.500 0.249
Mg 0.000 0.500 0.751
Mg 0.500 0.000 0.249
Mg 0.500 0.000 0.751
Mg 0.500 0.500 0.000
Mg 0.500 0.500 0.500
Si 0.000 0.000 0.500
O 0.000 0.000 0.298
O 0.000 0.000 0.702
O 0.000 0.500 0.000
O 0.000 0.500 0.500
O 0.500 0.000 0.000
O 0.500 0.000 0.500
O 0.500 0.500 0.252
O 0.500 0.500 0.748

The 6 most intense peaks (2θ = 5–70°), sorted by position:
Position (°2θ), Rel. int.
18.8, 16
34.4, 34
38.2, 100
43.4, 30
55.1, 30
59.2, 43

=====

Record 2
This entry pairs a crystal structure of Rb3MgTe2O9 with its simulated powder diffraction line list. Radiation: Cu Kα X-rays. Structure: DFT lattice parameters and positions (GGA-PBE).

Crystal structure
Lattice parameters (Å, degrees): 5.831 5.831 7.164 90.00 90.00 120.00
Positions (direct):
Rb 0.000 0.000 0.000
Rb 0.333 0.667 0.662
Rb 0.667 0.333 0.338
Mg 0.000 0.000 0.500
Te 0.333 0.667 0.175
Te 0.667 0.333 0.825
O 0.000 0.500 0.000
O 0.174 0.349 0.319
O 0.174 0.826 0.319
O 0.349 0.174 0.681
O 0.500 0.000 0.000
O 0.500 0.500 0.000
O 0.651 0.826 0.319
O 0.826 0.174 0.681
O 0.826 0.651 0.681

The 6 most intense peaks (2θ = 5–70°), sorted by position:
Position (°2θ), Rel. int.
30.6, 100
43.9, 35
54.3, 10
54.5, 30
63.7, 11
63.8, 11

=====

Record 3
This entry pairs a crystal structure of RbMgTi2O6 with its simulated powder diffraction line list. Radiation: Cu Kα X-rays. Structure: DFT lattice parameters and positions (GGA-PBE).

Crystal structure
Lattice parameters (Å, degrees): 7.686 7.686 6.385 103.19 103.19 104.40
Positions (direct):
Rb 0.106 0.894 0.750
Rb 0.894 0.106 0.250
Mg 0.210 0.790 0.250
Mg 0.790 0.210 0.750
Ti 0.285 0.434 0.841
Ti 0.434 0.285 0.341
Ti 0.566 0.715 0.659
Ti 0.715 0.566 0.159
O 0.053 0.263 0.742
O 0.223 0.635 0.968
O 0.263 0.053 0.242
O 0.344 0.417 0.558
O 0.365 0.777 0.532
O 0.417 0.344 0.058
O 0.583 0.656 0.942
O 0.635 0.223 0.468
O 0.656 0.583 0.442
O 0.737 0.947 0.758
O 0.777 0.365 0.032
O 0.947 0.737 0.258

The 6 most intense peaks (2θ = 5–70°), sorted by position:
Position (°2θ), Rel. int.
20.3, 45
25.1, 100
26.5, 61
28.9, 65
30.6, 64
31.6, 55

=====

Record 4
This entry pairs a crystal structure of Rb4MgU3O12 with its simulated powder diffraction line list. Radiation: Cu Kα X-rays. Structure: DFT lattice parameters and positions (GGA-PBE).

Crystal structure
Lattice parameters (Å, degrees): 7.474 7.474 7.474 109.47 109.47 109.47
Positions (direct):
Rb 0.000 0.000 0.500
Rb 0.000 0.500 0.000
Rb 0.500 0.000 0.000
Rb 0.500 0.500 0.500
Mg 0.000 0.000 0.000
U 0.000 0.500 0.500
U 0.500 0.000 0.500
U 0.500 0.500 0.000
O 0.000 0.269 0.269
O 0.000 0.731 0.731
O 0.250 0.500 0.750
O 0.250 0.750 0.500
O 0.269 0.000 0.269
O 0.269 0.269 0.000
O 0.500 0.250 0.750
O 0.500 0.750 0.250
O 0.731 0.000 0.731
O 0.731 0.731 0.000
O 0.750 0.250 0.500
O 0.750 0.500 0.250

The 6 most intense peaks (2θ = 5–70°), sorted by position:
Position (°2θ), Rel. int.
14.5, 23
20.6, 22
29.3, 100
41.9, 30
51.9, 42
60.7, 19